# Zr5Tl2H
Simulated X-ray diffraction stick pattern, Cu Kα, 1.54184 Å. Input: a cell relaxed with GGA-PBE.

Crystal structure
```
Zr5Tl2H
1.0
0.000 4.487 4.316
4.478 0.000 4.316
4.478 4.487 0.000
Zr Tl H
5 2 1
Cartesian
0.000 0.000 0.000 Zr
4.478 2.262 6.465 Zr
6.699 4.487 6.466 Zr
2.257 4.487 6.466 Zr
4.478 6.712 6.465 Zr
2.239 2.244 4.303 Tl
6.717 6.731 8.619 Tl
4.478 4.487 2.167 H
```

Main lines, most intense first (2θ = 5–70°):
2.555 Å, rel. 100
2.241 Å, rel. 35
4.483 Å, rel. 25
1.555 Å, rel. 22
3.109 Å, rel. 21
2.158 Å, rel. 15
1.348 Å, rel. 13
1.346 Å, rel. 13
1.585 Å, rel. 12
1.818 Å, rel. 9